Simulated powder diffraction line list of Sr3LiAc3S8 for Cu Kα, 1.54184 Å, from a GGA-PBE-relaxed structure.

Largest 10 diffraction maxima, sorted by position, 2θ = 5–70°:
2theta	Rel. int.
12.7	34
14.7	33
20.8	30
24.5	22
25.6	57
29.6	100
42.4	74
50.1	32
52.5	26
69.7	33

```
Sr3LiAc3S8
1.0
4.268 2.464 6.969
-4.268 2.464 6.969
0.000 -4.928 6.969
Sr Li Ac S
3 1 3 8
direct
0.000 0.500 0.500 Sr
0.500 0.000 0.500 Sr
0.500 0.500 0.000 Sr
0.500 0.500 0.500 Li
0.000 0.000 0.500 Ac
0.000 0.500 0.000 Ac
0.500 0.000 0.000 Ac
0.250 0.250 0.250 S
0.256 0.738 0.738 S
0.262 0.262 0.744 S
0.262 0.744 0.262 S
0.738 0.256 0.738 S
0.738 0.738 0.256 S
0.744 0.262 0.262 S
0.750 0.750 0.750 S
```

---

Simulated powder diffraction line list of Li2Ac3Sb3 for Cu Kα, 1.54184 Å, from a GGA-PBE-relaxed structure.

Largest 10 diffraction maxima, sorted by position, 2θ = 5–70°:
2theta	Rel. int.
21.0	34
28.3	31
28.5	46
29.1	46
29.9	100
32.8	41
33.0	37
38.5	35
48.7	23
51.5	24

```
Li2Ac3Sb3
1.0
2.338 -6.312 0.000
2.338 6.312 0.000
0.000 0.000 16.345
Li Ac Sb
4 6 6
direct
0.227 0.773 0.590 Li
0.227 0.773 0.910 Li
0.773 0.227 0.090 Li
0.773 0.227 0.410 Li
0.074 0.926 0.108 Ac
0.074 0.926 0.392 Ac
0.363 0.637 0.250 Ac
0.637 0.363 0.750 Ac
0.926 0.074 0.608 Ac
0.926 0.074 0.892 Ac
0.346 0.654 0.750 Sb
0.371 0.629 0.049 Sb
0.371 0.629 0.451 Sb
0.629 0.371 0.549 Sb
0.629 0.371 0.951 Sb
0.654 0.346 0.250 Sb
```

---

Simulated powder diffraction line list of Sr2Li2AcSb2 for Cu Kα, 1.54184 Å, from a GGA-PBE-relaxed structure.

Largest 10 diffraction maxima, sorted by position, 2θ = 5–70°:
2theta	Rel. int.
7.1	100
22.1	51
24.0	25
27.6	89
29.2	66
34.4	26
38.6	56
48.1	19
53.7	23
59.4	22

```
Sr2Li2AcSb2
1.0
2.332 1.347 12.518
-2.332 1.347 12.518
0.000 -2.693 12.518
Sr Li Ac Sb
2 2 1 2
direct
0.120 0.120 0.120 Sr
0.880 0.880 0.880 Sr
0.395 0.395 0.395 Li
0.605 0.605 0.605 Li
0.000 0.000 0.000 Ac
0.274 0.274 0.274 Sb
0.726 0.726 0.726 Sb
```

---

Simulated powder diffraction line list of LiAc4Se5 for Cu Kα, 1.54184 Å, from a GGA-PBE-relaxed structure.

Largest 10 diffraction maxima, sorted by position, 2θ = 5–70°:
2theta	Rel. int.
24.7	49
28.5	49
28.7	100
40.8	78
41.0	37
48.4	17
50.7	41
66.8	18
67.1	17
67.2	17

```
LiAc4Se5
1.0
-4.924 4.924 3.136
4.924 -4.924 3.136
4.924 4.924 -3.136
Li Ac Se
1 4 5
direct
0.000 0.000 0.000 Li
0.250 0.454 0.601 Ac
0.454 0.852 0.204 Ac
0.649 0.250 0.796 Ac
0.852 0.649 0.399 Ac
0.147 0.766 0.811 Se
0.336 0.147 0.381 Se
0.566 0.566 0.000 Se
0.766 0.955 0.619 Se
0.955 0.336 0.189 Se
```